Starting from a cell relaxed with GGA+U, the powder X-ray diffraction pattern of PWO5 was calculated for Cu Kα.

Top 10 peaks for 10° ≤ 2θ ≤ 90°, low angle first:
hkl  d (Å)  Position (°2θ)  I_rel
1 1 0  5.823  15.22  263
2 0 0  5.745  15.42  561
2 1 0  4.376  20.29  711
0 1 1  4.203  21.14  1000
1 1 1  3.947  22.53  425
2 1 1  3.392  26.27  599
1 2 1  2.774  32.27  450
4 0 1  2.533  35.44  453
3 2 2  1.842  49.48  236
3 3 1  1.825  49.97  262

```
data_PWO5
_cell_length_a 11.490
_cell_length_b 6.755
_cell_length_c 5.368
_cell_angle_alpha 90.00
_cell_angle_beta 90.00
_cell_angle_gamma 90.00
_symmetry_space_group_name_H-M 'P n a 21'
_symmetry_Int_Tables_number 33
loop_
_symmetry_equiv_pos_as_xyz
'x,y,z'
'-x,-y,z+1/2'
'-x+1/2,y+1/2,z+1/2'
'x+1/2,-y+1/2,z'
loop_
_atom_site_label
_atom_site_type_symbol
_atom_site_fract_x
_atom_site_fract_y
_atom_site_fract_z
P1 P 0.156 0.028 0.000
W1 W 0.063 0.328 0.498
O1 O 0.004 0.491 0.211
O2 O 0.086 0.835 0.986
O3 O 0.125 0.162 0.780
O4 O 0.130 0.139 0.247
O5 O 0.214 0.481 0.488
```